Computed powder XRD pattern of Na2Sb4O11 for a wavelength of 1.5418 Å, from a crystal structure in the Materials Project, relaxed with PBE.
Peak positions follow from Bragg's law for the DFT cell and can differ from measured ones.

The 10 most intense peaks (2θ from 10° to 90°), by angle:
- hkl 0 0 1, 7.246 Å, I = 55
- hkl 1 1 0, 7.126 Å, I = 100
- hkl 2 0 -1, 6.129 Å, I = 35
- hkl 2 2 0, 3.563 Å, I = 31
- hkl 0 2 1, 3.380 Å, I = 19
- hkl 2 2 -1, 3.242 Å, I = 15
- hkl 4 0 2, 2.794 Å, I = 19
- hkl 2 2 -2, 2.586 Å, I = 13
- hkl 6 2 0, 2.493 Å, I = 26
- hkl 0 4 0, 1.911 Å, I = 13

Atomic structure:
a b c (Å): 19.819 7.642 7.280
angles (deg): 90.00 95.54 90.00
Space group C2/m (No. 12)
Asymmetric unit:
Na: 0.031 0.000 0.281 (multiplicity 4)
Na: 0.235 0.500 0.076 (multiplicity 4)
Sb: 0.071 0.500 0.097 (multiplicity 4)
Sb: 0.076 0.500 0.617 (multiplicity 4)
Sb: 0.174 0.242 0.436 (multiplicity 8)
O: 0.000 0.326 0.000 (multiplicity 4)
O: 0.023 0.500 0.344 (multiplicity 4)
O: 0.087 0.244 0.565 (multiplicity 8)
O: 0.119 0.500 0.869 (multiplicity 4)
O: 0.132 0.307 0.186 (multiplicity 8)
O: 0.154 0.000 0.353 (multiplicity 4)
O: 0.167 0.500 0.515 (multiplicity 4)
O: 0.237 0.206 0.667 (multiplicity 8)